This entry pairs a crystal structure of Pu8Mn5Ge with its simulated X-ray powder pattern. Radiation: copper Kα. Structure: a crystal structure in Alexandria, relaxed with PBE.
Intensities are scaled so that the largest is 100.

Main lines, low angle first (10 to 90 degrees two-theta):
d/Å	Position (°2θ)	Rel. int.	index
3.401	26.2	72	1 2 1
2.945	30.4	35	2 0 2
2.638	34.0	100	3 0 1
2.628	34.1	54	1 0 3
2.228	40.5	87	3 2 1
2.224	40.6	26	2 1 3
1.702	53.9	27	2 4 2
1.635	56.3	45	1 5 0

Structural model:
Lattice parameters (Å, degrees): 8.344 8.344 8.307 90.00 90.00 90.00
Space group I-4 (No. 82)
Asymmetric unit:
Pu: 0.070 0.181 0.192
Pu: 0.072 0.334 0.563
Mn: 0.000 0.500 0.250
Mn: 0.143 0.244 0.867
Ge: 0.000 0.000 0.500